This entry pairs a crystal structure of KAg2Sb with its theoretical powder diffractogram. Radiation: Cu Kα, 1.54184 Å. Structure: DFT lattice parameters and positions (PBE).
Intensities are scaled so that the largest is 100.

Main lines, in order of rising 2θ (2θ = 10–90°):
- 20.77°, I = 87, hkl 1 0 1
- 28.30°, I = 65, hkl 1 1 1
- 31.66°, I = 79, hkl 1 0 3
- 37.19°, I = 65, hkl 1 1 3
- 38.57°, I = 100, hkl 2 0 0
- 43.68°, I = 52, hkl 1 1 4

Crystal structure
abc: 4.6689 4.6689 10.6492
angles: 90.00 90.00 90.00
Space group P4/nmm (No. 129, origin choice 2)
One atom of each set of equivalent atoms:
K 0.2500 0.2500 0.2303 [2 per cell]
Ag 0.2500 0.2500 0.9141 [2 per cell]
Ag 0.2500 0.7500 0.5000 [2 per cell]
Sb 0.2500 0.2500 0.6518 [2 per cell]


This entry pairs a crystal structure of Ce2Pu2N5 with its theoretical powder diffractogram. Radiation: Cu Kα, 1.54184 Å. Structure: DFT lattice parameters and positions (PBE).
Intensities are scaled so that the largest is 100.

Main lines, in order of rising 2θ (2θ = 10–90°):
- 29.95°, I = 100, hkl 3 1 1
- 30.95°, I = 73, hkl 2 0 2
- 31.23°, I = 69, hkl 2 2 0
- 38.44°, I = 48, hkl 0 2 2
- 43.51°, I = 38, hkl 5 1 1
- 59.27°, I = 36, hkl 5 1 3

Crystal structure
abc: 11.6083 6.5866 6.6623
angles: 90.00 90.00 90.00
Space group Cmce (No. 64)
One atom of each set of equivalent atoms:
Ce 0.0000 0.1606 0.1623 [8 per cell]
Pu 0.2049 0.0000 0.5000 [8 per cell]
N 0.0000 0.0000 0.5000 [4 per cell]
N 0.1404 0.1638 0.8545 [16 per cell]


This entry pairs a crystal structure of LaNd7Dy3 with its theoretical powder diffractogram. Radiation: Cu Kα, 1.54184 Å. Structure: DFT lattice parameters and positions (PBE).
Intensities are scaled so that the largest is 100.

Main lines, in order of rising 2θ (2θ = 10–90°):
- 30.16°, I = 87, hkl 2 0 -2
- 30.26°, I = 77, hkl 4 0 0
- 30.94°, I = 100, hkl 1 3 1
- 32.96°, I = 58, hkl 2 0 2
- 36.64°, I = 70, hkl 3 3 -1
- 62.89°, I = 46, hkl 2 6 -2

Crystal structure
abc: 11.8775 10.2365 6.4902
angles: 90.00 95.90 90.00
Space group C2/m (No. 12)
One atom of each set of equivalent atoms:
La 0.0000 0.0000 0.0000 [2 per cell]
Nd 0.0000 0.0000 0.5000 [2 per cell]
Nd 0.2344 0.5000 0.7113 [4 per cell]
Nd 0.2478 0.3244 0.2405 [8 per cell]
Dy 0.0000 0.3310 0.5000 [4 per cell]
Dy 0.0000 0.5000 0.0000 [2 per cell]


This entry pairs a crystal structure of TbPr6Ho2Sc with its theoretical powder diffractogram. Radiation: Cu Kα, 1.54184 Å. Structure: DFT lattice parameters and positions (PBE).
Intensities are scaled so that the largest is 100.

Main lines, in order of rising 2θ (2θ = 10–90°):
- 26.49°, I = 58, hkl 1 1 2
- 28.91°, I = 32, hkl 3 1 -1
- 29.93°, I = 100, hkl 2 2 -1
- 31.10°, I = 58, hkl 0 2 2
- 31.84°, I = 43, hkl 2 0 -3
- 32.74°, I = 37, hkl 3 1 1

Crystal structure
abc: 10.2913 7.5920 9.0212
angles: 90.00 102.31 90.00
Space group C2/m (No. 12)
One atom of each set of equivalent atoms:
Tb 0.0000 0.0000 0.0000 [2 per cell]
Pr 0.1316 0.2824 0.7827 [8 per cell]
Pr 0.1590 0.0000 0.4452 [4 per cell]
Ho 0.1306 0.5000 0.1378 [4 per cell]
Sc 0.0000 0.5000 0.5000 [2 per cell]


Number 4 is which compound? TbPr6Ho2Sc


Copy entry 4 word for word.
This entry pairs a crystal structure of TbPr6Ho2Sc with its theoretical powder diffractogram. Radiation: Cu Kα, 1.54184 Å. Structure: DFT lattice parameters and positions (PBE).
Intensities are scaled so that the largest is 100.

Main lines, in order of rising 2θ (2θ = 10–90°):
- 26.49°, I = 58, hkl 1 1 2
- 28.91°, I = 32, hkl 3 1 -1
- 29.93°, I = 100, hkl 2 2 -1
- 31.10°, I = 58, hkl 0 2 2
- 31.84°, I = 43, hkl 2 0 -3
- 32.74°, I = 37, hkl 3 1 1

Crystal structure
abc: 10.2913 7.5920 9.0212
angles: 90.00 102.31 90.00
Space group C2/m (No. 12)
One atom of each set of equivalent atoms:
Tb 0.0000 0.0000 0.0000 [2 per cell]
Pr 0.1316 0.2824 0.7827 [8 per cell]
Pr 0.1590 0.0000 0.4452 [4 per cell]
Ho 0.1306 0.5000 0.1378 [4 per cell]
Sc 0.0000 0.5000 0.5000 [2 per cell]